Entry 1:
Starting from a DFT-relaxed cell (GGA-PBE, Alexandria), the powder diffractogram of Cs4Rb2Cd2Hg was calculated for copper Kα.

Atomic structure:
```
data_Cs4Rb2Cd2Hg
_cell_length_a 7.516
_cell_length_b 8.753
_cell_length_c 11.224
_cell_angle_alpha 95.89
_cell_angle_beta 104.02
_cell_angle_gamma 111.40
_space_group_name_H-M_alt 'P -1'
_space_group_IT_number 2
loop_
_space_group_symop_operation_xyz
'x,y,z'
'-x,-y,-z'
loop_
_atom_site_label
_atom_site_fract_x
_atom_site_fract_y
_atom_site_fract_z
Cs1 0.033 0.294 0.109
Cs2 0.201 0.306 0.657
Rb1 0.487 0.083 0.309
Cd1 0.440 0.144 0.973
Hg1 0.500 0.500 0.000
```

Largest 10 diffraction maxima, by intensity, 2θ = 15–90°:
Position (°2θ), I (rel.)
22.7, 100.0
20.9, 87.1
23.9, 84.4
20.5, 72.4
25.1, 71.6
30.8, 67.1
40.9, 66.5
32.2, 62.4
22.1, 61.8
24.6, 61.8

---

Entry 2:
Starting from a DFT-relaxed cell (GGA-PBE, Alexandria), the powder diffractogram of TmLuMnNi was calculated for copper Kα.

Atomic structure:
```
data_TmLuMnNi
_cell_length_a 6.774
_cell_length_b 6.774
_cell_length_c 6.774
_cell_angle_alpha 90.00
_cell_angle_beta 90.00
_cell_angle_gamma 90.00
_space_group_name_H-M_alt 'F -4 3 m'
_space_group_IT_number 216
_space_group_name_Hall 'F -4 2 3'
loop_
_atom_site_label
_atom_site_fract_x
_atom_site_fract_y
_atom_site_fract_z
Tm1 0.000 0.000 0.000
Lu1 0.000 0.000 0.500
Mn1 0.250 0.250 0.250
Ni1 0.250 0.250 0.750
```

Largest 8 diffraction maxima, by intensity, 2θ = 15–90°:
Position (°2θ), I (rel.)
37.6, 100.0
67.8, 34.5
26.3, 27.9
54.2, 17.2
61.2, 11.8
80.2, 10.8
46.4, 8.5
86.1, 6.2

---

Entry 3:
Starting from a DFT-relaxed cell (GGA-PBE, Alexandria), the powder diffractogram of Sm6CoPd2 was calculated for copper Kα.

Atomic structure:
```
data_Sm6CoPd2
_cell_length_a 6.646
_cell_length_b 7.398
_cell_length_c 12.023
_cell_angle_alpha 90.00
_cell_angle_beta 122.41
_cell_angle_gamma 90.00
_space_group_name_H-M_alt 'P 1 21/c 1'
_space_group_IT_number 14
loop_
_space_group_symop_operation_xyz
'x,y,z'
'-x,-y,-z'
'-x,y+1/2,-z+1/2'
'x,-y+1/2,z+1/2'
loop_
_atom_site_label
_atom_site_fract_x
_atom_site_fract_y
_atom_site_fract_z
Sm1 0.105 0.035 0.250
Sm2 0.239 0.682 0.067
Sm3 0.394 0.180 0.064
Co1 0.000 0.000 0.000
Pd1 0.316 0.114 0.757
```

Largest 10 diffraction maxima, by intensity, 2θ = 15–90°:
Position (°2θ), I (rel.)
29.9, 100.0
29.4, 68.3
30.6, 54.0
51.3, 37.0
28.9, 33.5
32.7, 33.1
39.0, 33.0
36.0, 31.3
56.8, 31.3
31.8, 30.5

---

Entry 4:
Starting from a DFT-relaxed cell (GGA-PBE, Alexandria), the powder diffractogram of Ta5Mo3 was calculated for copper Kα.

Atomic structure:
```
data_Ta5Mo3
_cell_length_a 3.234
_cell_length_b 6.485
_cell_length_c 6.563
_cell_angle_alpha 90.00
_cell_angle_beta 90.00
_cell_angle_gamma 90.00
_space_group_name_H-M_alt 'P m m 2'
_space_group_IT_number 25
loop_
_space_group_symop_operation_xyz
'x,y,z'
'-x,-y,z'
'-x,y,z'
'x,-y,z'
loop_
_atom_site_label
_atom_site_fract_x
_atom_site_fract_y
_atom_site_fract_z
Ta1 0.000 0.000 0.000
Ta2 0.000 0.000 0.483
Ta3 0.000 0.500 0.477
Ta4 0.500 0.255 0.742
Mo1 0.000 0.500 0.993
Mo2 0.500 0.253 0.235
```

Largest 10 diffraction maxima, by intensity, 2θ = 15–90°:
Position (°2θ), I (rel.)
39.1, 100.0
39.4, 49.4
71.1, 17.2
71.2, 17.1
70.6, 17.1
56.0, 8.5
56.8, 8.4
57.0, 8.4
30.8, 6.3
84.7, 5.6

---

Entry 5:
Starting from a DFT-relaxed cell (GGA-PBE, Alexandria), the powder diffractogram of LiCo3Ni9 was calculated for copper Kα.

Atomic structure:
```
data_LiCo3Ni9
_cell_length_a 4.853
_cell_length_b 4.920
_cell_length_c 6.927
_cell_angle_alpha 91.19
_cell_angle_beta 90.59
_cell_angle_gamma 91.66
_space_group_name_H-M_alt 'P -1'
_space_group_IT_number 2
loop_
_space_group_symop_operation_xyz
'x,y,z'
'-x,-y,-z'
loop_
_atom_site_label
_atom_site_fract_x
_atom_site_fract_y
_atom_site_fract_z
Li1 0.000 0.000 0.000
Co1 0.000 0.000 0.500
Co2 0.000 0.500 0.000
Co3 0.500 0.500 0.500
Ni1 0.000 0.500 0.500
Ni2 0.250 0.256 0.748
Ni3 0.254 0.734 0.251
Ni4 0.265 0.753 0.752
Ni5 0.500 0.000 0.500
Ni6 0.500 0.500 0.000
```

Largest 10 diffraction maxima, by intensity, 2θ = 15–90°:
Position (°2θ), I (rel.)
44.8, 100.0
45.4, 96.1
45.7, 94.0
45.9, 92.6
22.0, 73.1
52.2, 61.3
53.9, 60.0
52.9, 59.6
18.0, 34.9
77.8, 34.1

---

Entry 6:
Starting from a DFT-relaxed cell (GGA-PBE, Alexandria), the powder diffractogram of Tl3SbI6 was calculated for copper Kα.

Atomic structure:
```
data_Tl3SbI6
_cell_length_a 8.148
_cell_length_b 9.139
_cell_length_c 14.073
_cell_angle_alpha 90.00
_cell_angle_beta 121.72
_cell_angle_gamma 90.00
_space_group_name_H-M_alt 'P 1 21/c 1'
_space_group_IT_number 14
loop_
_space_group_symop_operation_xyz
'x,y,z'
'-x,-y,-z'
'-x,y+1/2,-z+1/2'
'x,-y+1/2,z+1/2'
loop_
_atom_site_label
_atom_site_fract_x
_atom_site_fract_y
_atom_site_fract_z
Tl1 0.000 0.000 0.000
Tl2 0.193 0.096 0.736
Sb1 0.500 0.000 0.500
I1 0.140 0.169 0.449
I2 0.268 0.714 0.423
I3 0.410 0.058 0.264
```

Largest 10 diffraction maxima, by intensity, 2θ = 15–90°:
Position (°2θ), I (rel.)
25.5, 100.0
27.3, 97.1
38.6, 84.1
36.9, 73.9
21.3, 72.8
20.3, 71.9
29.9, 65.4
32.4, 62.8
31.4, 60.5
35.8, 59.7

---

Entry 7:
Starting from a DFT-relaxed cell (GGA-PBE, Alexandria), the powder diffractogram of PaTl2Pd was calculated for copper Kα.

Atomic structure:
```
data_PaTl2Pd
_cell_length_a 3.2172
_cell_length_b 3.2172
_cell_length_c 32.8060
_cell_angle_alpha 90.00
_cell_angle_beta 90.00
_cell_angle_gamma 120.00
_space_group_name_H-M_alt 'R -3 m'
_space_group_IT_number 166
_space_group_name_Hall '-R 3 2"'
loop_
_atom_site_label
_atom_site_fract_x
_atom_site_fract_y
_atom_site_fract_z
Pa1 0.0000 0.0000 0.0000
Tl1 0.0000 0.0000 0.0979
Pd1 0.0000 0.0000 0.5000
```

Largest 10 diffraction maxima, by intensity, 2θ = 15–90°:
Position (°2θ), I (rel.)
42.6, 100.0
32.6, 84.6
32.2, 77.8
24.4, 44.2
57.3, 42.7
39.1, 41.3
44.5, 37.1
67.5, 36.4
32.8, 33.9
66.1, 26.8

---

Entry 8:
Starting from a DFT-relaxed cell (GGA-PBE, Alexandria), the powder diffractogram of Pr2Zn7 was calculated for copper Kα.

Atomic structure:
```
data_Pr2Zn7
_cell_length_a 5.5303
_cell_length_b 5.5303
_cell_length_c 38.9217
_cell_angle_alpha 90.00
_cell_angle_beta 90.00
_cell_angle_gamma 120.00
_space_group_name_H-M_alt 'R -3 m'
_space_group_IT_number 166
_space_group_name_Hall '-R 3 2"'
loop_
_atom_site_label
_atom_site_fract_x
_atom_site_fract_y
_atom_site_fract_z
Pr1 0.0000 0.0000 0.0515
Pr2 0.0000 0.0000 0.1493
Zn1 0.0000 0.0000 0.2791
Zn2 0.0000 0.0000 0.3884
Zn3 0.0000 0.0000 0.5000
Zn4 0.0000 0.5000 0.0000
Zn5 0.0020 0.5010 0.8911
```

Largest 10 diffraction maxima, by intensity, 2θ = 15–90°:
Position (°2θ), I (rel.)
38.7, 100.0
32.4, 38.9
37.6, 31.0
29.6, 28.6
62.0, 23.1
31.4, 22.7
67.8, 22.7
41.8, 16.2
82.9, 12.3
42.1, 11.9